No. 1
RbLiO3: simulated XRD peak list (λ = 1.5418 Å (Cu Kα)), based on a cell relaxed with PBE.
Kinematic intensities with the Lorentz-polarization factor, no thermal factor.

Largest 10 diffraction maxima, in order of falling intensity, 2θ = 10–80°:
d (Å)  2theta  I_rel
2.413  37.26  100
2.955  30.24  86
4.179  21.26  75
2.090  43.30  55
1.706  53.72  36
1.869  48.72  35
1.478  62.90  32
1.260  75.44  30
1.393  67.20  18
1.322  71.37  16

```
data_RbLiO3
_chemical_formula_sum 'Rb1 Li1 O3'
_space_group_name_H-M_alt 'P m -3 m'
_space_group_IT_number 221
_space_group_name_Hall '-P 4 2 3'
_cell_length_a 4.1794
_cell_length_b 4.1794
_cell_length_c 4.1794
_cell_angle_alpha 90.00
_cell_angle_beta 90.00
_cell_angle_gamma 90.00
loop_
_atom_site_label
_atom_site_type_symbol
_atom_site_fract_x
_atom_site_fract_y
_atom_site_fract_z
_atom_site_occupancy
Rb1 Rb 0.0000 0.0000 0.0000 1
Li1 Li 0.5000 0.5000 0.5000 1
O1 O 0.0000 0.5000 0.5000 1
```

=====

No. 2
Mg2Si: simulated XRD peak list (λ = 1.5418 Å (Cu Kα)), based on a cell relaxed with PBE.
Kinematic intensities with the Lorentz-polarization factor, no thermal factor.

Largest 10 diffraction maxima, in order of falling intensity, 2θ = 10–80°:
d (Å)  2theta  I_rel
2.388  37.67  100
2.445  36.76  71
2.481  36.21  66
2.495  36.00  55
2.088  43.34  42
1.957  46.39  27
2.360  38.13  23
2.177  41.48  16
1.437  64.88  12
2.429  37.01  11

```
data_Mg2Si
_chemical_formula_sum 'Mg8 Si4'
_space_group_name_H-M_alt 'P -1'
_space_group_IT_number 2
_cell_length_a 5.1119
_cell_length_b 6.1123
_cell_length_c 7.9894
_cell_angle_alpha 105.75
_cell_angle_beta 99.17
_cell_angle_gamma 95.73
loop_
_space_group_symop_operation_xyz
'x,y,z'
'-x,-y,-z'
loop_
_atom_site_label
_atom_site_type_symbol
_atom_site_fract_x
_atom_site_fract_y
_atom_site_fract_z
_atom_site_occupancy
Mg1 Mg 0.0000 0.0000 0.0000 1
Mg2 Mg 0.0000 0.5000 0.0000 1
Mg3 Mg 0.0687 0.1586 0.6736 1
Mg4 Mg 0.4512 0.7539 0.5132 1
Mg5 Mg 0.4852 0.6489 0.8505 1
Si1 Si 0.0458 0.3456 0.3669 1
Si2 Si 0.4089 0.8363 0.1904 1
```

=====

No. 3
Ca2CeO4: simulated XRD peak list (λ = 1.5418 Å (Cu Kα)), based on a cell relaxed with PBE.
Kinematic intensities with the Lorentz-polarization factor, no thermal factor.

Largest 10 diffraction maxima, in order of falling intensity, 2θ = 10–80°:
d (Å)  2theta  I_rel
2.922  30.60  100
4.047  21.96  63
5.972  14.83  52
3.060  29.18  35
3.023  29.55  32
1.725  53.08  31
2.151  42.01  28
1.739  52.63  21
2.088  43.32  19
1.908  47.65  15

```
data_Ca2CeO4
_chemical_formula_sum 'Ca8 Ce4 O16'
_space_group_name_H-M_alt 'P b c a'
_space_group_IT_number 61
_cell_length_a 6.0463
_cell_length_b 6.1201
_cell_length_c 11.9447
_cell_angle_alpha 90.00
_cell_angle_beta 90.00
_cell_angle_gamma 90.00
loop_
_space_group_symop_operation_xyz
'x,y,z'
'-x,-y,-z'
'-x+1/2,-y,z+1/2'
'x+1/2,y,-z+1/2'
'x+1/2,-y+1/2,-z'
'-x+1/2,y+1/2,z'
'-x,y+1/2,-z+1/2'
'x,-y+1/2,z+1/2'
loop_
_atom_site_label
_atom_site_type_symbol
_atom_site_fract_x
_atom_site_fract_y
_atom_site_fract_z
_atom_site_occupancy
Ca1 Ca 0.0261 0.0515 0.1580 1
Ce1 Ce 0.0000 0.0000 0.5000 1
O1 O 0.1112 0.0662 0.6747 1
O2 O 0.1761 0.1767 0.9623 1
```

=====

No. 4
TiSiNi: simulated XRD peak list (λ = 1.5418 Å (Cu Kα)), based on a cell relaxed with PBE.
Kinematic intensities with the Lorentz-polarization factor, no thermal factor.

Largest 10 diffraction maxima, in order of falling intensity, 2θ = 10–80°:
d (Å)  2theta  I_rel
2.341  38.46  100
1.969  46.10  95
2.231  40.43  82
2.353  38.25  58
1.829  49.87  50
2.186  41.31  33
4.623  19.20  27
1.252  76.02  26
1.876  48.52  24
2.868  31.18  22

```
data_TiSiNi
_chemical_formula_sum 'Ti4 Si4 Ni4'
_space_group_name_H-M_alt 'P n m a'
_space_group_IT_number 62
_cell_length_a 6.1470
_cell_length_b 3.6572
_cell_length_c 7.0154
_cell_angle_alpha 90.00
_cell_angle_beta 90.00
_cell_angle_gamma 90.00
loop_
_space_group_symop_operation_xyz
'x,y,z'
'-x,-y,-z'
'-x+1/2,-y,z+1/2'
'x+1/2,y,-z+1/2'
'x+1/2,-y+1/2,-z+1/2'
'-x+1/2,y+1/2,z+1/2'
'-x,y+1/2,-z'
'x,-y+1/2,z'
loop_
_atom_site_label
_atom_site_type_symbol
_atom_site_fract_x
_atom_site_fract_y
_atom_site_fract_z
_atom_site_occupancy
Ti1 Ti 0.0227 0.2500 0.1807 1
Si1 Si 0.2339 0.7500 0.3779 1
Ni1 Ni 0.1413 0.2500 0.5601 1
```

=====

No. 5
Zr2SeN2: simulated XRD peak list (λ = 1.5418 Å (Cu Kα)), based on a cell relaxed with PBE.
Kinematic intensities with the Lorentz-polarization factor, no thermal factor.

Largest 10 diffraction maxima, in order of falling intensity, 2θ = 10–80°:
d (Å)  2theta  I_rel
2.877  31.09  100
2.309  39.01  49
1.838  49.58  34
1.420  65.76  22
2.236  40.34  17
1.549  59.69  15
1.484  62.61  11
1.438  64.82  11
1.830  49.84  7
1.236  77.16  6

```
data_Zr2SeN2
_chemical_formula_sum 'Zr2 Se1 N2'
_space_group_name_H-M_alt 'P -3 m 1'
_space_group_IT_number 164
_space_group_name_Hall '-P 3 2"'
_cell_length_a 3.6770
_cell_length_b 3.6770
_cell_length_c 6.7069
_cell_angle_alpha 90.00
_cell_angle_beta 90.00
_cell_angle_gamma 120.00
loop_
_atom_site_label
_atom_site_type_symbol
_atom_site_fract_x
_atom_site_fract_y
_atom_site_fract_z
_atom_site_occupancy
Zr1 Zr 0.3333 0.6667 0.3043 1
Se1 Se 0.0000 0.0000 0.0000 1
N1 N 0.3333 0.6667 0.6318 1
```